This entry pairs a crystal structure of Na5WO5 with its calculated PXRD pattern. Radiation: copper Kα. Structure: a DFT-relaxed cell (GGA+U, Alexandria).

Crystal structure
Unit cell a=6.4483 b=9.7143 c=10.3399 alpha=90.00 beta=107.53 gamma=90.00
Space group C2/c (No. 15)
Inequivalent atoms, fractional coordinates:
Na 0.0000 0.0933 0.2500
Na 0.1548 0.1243 0.5643
Na 0.1599 0.3794 0.0812
W 0.0000 0.3534 0.7500
O 0.0000 0.1558 0.7500
O 0.1465 0.3707 0.6103
O 0.2219 0.1169 0.1121

The 8 most intense peaks (2θ from 5° to 70°), by intensity:
2θ 17.1, d 5.177, rel. 100, hkl 1 1 -1; 2θ 20.4, d 4.357, rel. 73, hkl 0 2 1; 2θ 21.3, d 4.179, rel. 45, hkl 1 1 1; 2θ 18.0, d 4.930, rel. 33, hkl 0 0 2; 2θ 32.9, d 2.722, rel. 31, hkl 0 2 3; 2θ 33.4, d 2.686, rel. 31, hkl 2 2 -1; 2θ 37.0, d 2.429, rel. 29, hkl 0 4 0; 2θ 38.9, d 2.315, rel. 28, hkl 2 0 2